No. 1
# La3Sn4Hg2
Computed powder diffractogram, Cu Kα (λ = 1.5418 Å). Input: DFT lattice parameters and positions (GGA-PBE).
Lines closer than 0.1° are merged.

Structure:
```
data_La3Sn4Hg2
_symmetry_space_group_name_H-M 'C 1 2/m 1'
_symmetry_Int_Tables_number 12
_cell_length_a 12.1964
_cell_length_b 4.7803
_cell_length_c 9.3837
_cell_angle_alpha 90.00
_cell_angle_beta 103.01
_cell_angle_gamma 90.00
loop_
_symmetry_equiv_pos_as_xyz
'x,y,z'
'-x,-y,-z'
'-x,y,-z'
'x,-y,z'
'x+1/2,y+1/2,z'
'-x+1/2,-y+1/2,-z'
'-x+1/2,y+1/2,-z'
'x+1/2,-y+1/2,z'
loop_
_atom_site_label
_atom_site_type_symbol
_atom_site_fract_x
_atom_site_fract_y
_atom_site_fract_z
La1 La 0.0000 0.0000 0.0000
La2 La 0.1653 0.5000 0.6677
Sn1 Sn 0.0308 0.0000 0.3591
Sn2 Sn 0.1905 0.5000 0.0318
Hg1 Hg 0.1582 0.5000 0.3278
```

Top 10 peaks for 5 to 70 degrees two-theta, sorted by position:
2θ/deg, Rel. int.
29.29, 100
37.63, 19
37.95, 36
45.59, 17
45.81, 7
48.40, 17
48.88, 8
60.75, 9
62.86, 8
63.30, 15

No. 2
# Pu2Th2Ge4Ir
Computed powder diffractogram, Cu Kα (λ = 1.5418 Å). Input: DFT lattice parameters and positions (GGA-PBE).
Lines closer than 0.1° are merged.

Structure:
```
data_Pu2Th2Ge4Ir
_symmetry_space_group_name_H-M 'I 4/m m m'
_symmetry_Int_Tables_number 139
_symmetry_space_group_name_Hall '-I 4 2'
_cell_length_a 7.1475
_cell_length_b 7.1475
_cell_length_c 8.2410
_cell_angle_alpha 90.00
_cell_angle_beta 90.00
_cell_angle_gamma 90.00
loop_
_atom_site_label
_atom_site_type_symbol
_atom_site_fract_x
_atom_site_fract_y
_atom_site_fract_z
Pu1 Pu 0.0000 0.0000 0.1738
Th1 Th 0.0000 0.5000 0.2500
Ge1 Ge 0.2457 0.2457 0.5000
Ir1 Ir 0.0000 0.0000 0.5000
```

Top 10 peaks for 5 to 70 degrees two-theta, sorted by position:
2θ/deg, Rel. int.
24.92, 79
27.94, 25
33.18, 83
34.99, 46
35.53, 100
43.44, 49
51.12, 37
57.32, 25
57.71, 32
62.31, 28

No. 3
# Mg2AgPd7
Computed powder diffractogram, Cu Kα (λ = 1.5418 Å). Input: DFT lattice parameters and positions (GGA-PBE).
Lines closer than 0.1° are merged.

Structure:
```
data_Mg2AgPd7
_symmetry_space_group_name_H-M 'C m m m'
_symmetry_Int_Tables_number 65
_symmetry_space_group_name_Hall '-C 2 2'
_cell_length_a 8.5199
_cell_length_b 15.4039
_cell_length_c 2.7784
_cell_angle_alpha 90.00
_cell_angle_beta 90.00
_cell_angle_gamma 90.00
loop_
_atom_site_label
_atom_site_type_symbol
_atom_site_fract_x
_atom_site_fract_y
_atom_site_fract_z
Mg1 Mg 0.0000 0.1766 0.0000
Ag1 Ag 0.0000 0.5000 0.5000
Pd1 Pd 0.0000 0.0000 0.0000
Pd2 Pd 0.0000 0.3191 0.5000
Pd3 Pd 0.2333 0.4048 0.0000
```

Top 10 peaks for 5 to 70 degrees two-theta, sorted by position:
2θ/deg, Rel. int.
11.49, 69
11.87, 35
31.31, 70
34.45, 41
38.69, 60
41.05, 100
42.44, 51
45.22, 50
46.08, 40
48.26, 25

No. 4
# NaZrB12
Computed powder diffractogram, Cu Kα (λ = 1.5418 Å). Input: DFT lattice parameters and positions (GGA-PBE).
Lines closer than 0.1° are merged.

Structure:
```
data_NaZrB12
_symmetry_space_group_name_H-M 'P 4/m m m'
_symmetry_Int_Tables_number 123
_symmetry_space_group_name_Hall '-P 4 2'
_cell_length_a 4.0909
_cell_length_b 4.0909
_cell_length_c 8.2306
_cell_angle_alpha 90.00
_cell_angle_beta 90.00
_cell_angle_gamma 90.00
loop_
_atom_site_label
_atom_site_type_symbol
_atom_site_fract_x
_atom_site_fract_y
_atom_site_fract_z
Na1 Na 0.0000 0.0000 0.0000
Zr1 Zr 0.0000 0.0000 0.5000
B1 B 0.1996 0.5000 0.2544
B2 B 0.5000 0.5000 0.1021
B3 B 0.5000 0.5000 0.4024
```

Top 10 peaks for 5 to 70 degrees two-theta, sorted by position:
2θ/deg, Rel. int.
10.75, 60
21.72, 13
24.30, 33
30.85, 100
32.82, 15
38.02, 47
44.28, 16
49.59, 15
49.81, 29
68.65, 20

No. 5
# Cs3ReBr2Cl6
Computed powder diffractogram, Cu Kα (λ = 1.5418 Å). Input: DFT lattice parameters and positions (GGA-PBE).
Lines closer than 0.1° are merged.

Structure:
```
data_Cs3ReBr2Cl6
_symmetry_space_group_name_H-M 'C 1 2/m 1'
_symmetry_Int_Tables_number 12
_cell_length_a 17.8948
_cell_length_b 9.4500
_cell_length_c 5.6417
_cell_angle_alpha 90.00
_cell_angle_beta 90.61
_cell_angle_gamma 90.00
loop_
_symmetry_equiv_pos_as_xyz
'x,y,z'
'-x,-y,-z'
'-x,y,-z'
'x,-y,z'
'x+1/2,y+1/2,z'
'-x+1/2,-y+1/2,-z'
'-x+1/2,y+1/2,-z'
'x+1/2,-y+1/2,z'
loop_
_atom_site_label
_atom_site_type_symbol
_atom_site_fract_x
_atom_site_fract_y
_atom_site_fract_z
Cs1 Cs 0.0000 0.0000 0.0000
Cs2 Cs 0.2500 0.2500 0.5000
Re1 Re 0.0000 0.5000 0.5000
Br1 Br 0.1967 0.0000 0.9848
Cl1 Cl 0.0579 0.3244 0.2740
Cl2 Cl 0.1024 0.5000 0.7553
```

Top 10 peaks for 5 to 70 degrees two-theta, sorted by position:
2θ/deg, Rel. int.
10.59, 21
18.98, 100
19.85, 51
21.27, 43
24.58, 29
26.48, 52
31.21, 31
32.94, 23
35.60, 30
54.85, 24

No. 6
# Cd8AgAu3
Computed powder diffractogram, Cu Kα (λ = 1.5418 Å). Input: DFT lattice parameters and positions (GGA-PBE).
Lines closer than 0.1° are merged.

Structure:
```
data_Cd8AgAu3
_symmetry_space_group_name_H-M 'C 1 2/m 1'
_symmetry_Int_Tables_number 12
_cell_length_a 9.4094
_cell_length_b 9.5433
_cell_length_c 7.5023
_cell_angle_alpha 90.00
_cell_angle_beta 121.96
_cell_angle_gamma 90.00
loop_
_symmetry_equiv_pos_as_xyz
'x,y,z'
'-x,-y,-z'
'-x,y,-z'
'x,-y,z'
'x+1/2,y+1/2,z'
'-x+1/2,-y+1/2,-z'
'-x+1/2,y+1/2,-z'
'x+1/2,-y+1/2,z'
loop_
_atom_site_label
_atom_site_type_symbol
_atom_site_fract_x
_atom_site_fract_y
_atom_site_fract_z
Cd1 Cd 0.1392 0.0000 0.2435
Cd2 Cd 0.1385 0.2500 0.7430
Cd3 Cd 0.1386 0.5000 0.2430
Ag1 Ag 0.0000 0.0000 0.5000
Au1 Au 0.0000 0.2498 0.0000
Au2 Au 0.0000 0.5000 0.5000
```

Top 10 peaks for 5 to 70 degrees two-theta, sorted by position:
2θ/deg, Rel. int.
22.27, 21
23.30, 57
24.89, 49
37.41, 100
37.70, 49
38.52, 42
40.74, 75
44.02, 27
45.71, 19
55.00, 29

No. 7
# PHIr
Computed powder diffractogram, Cu Kα (λ = 1.5418 Å). Input: DFT lattice parameters and positions (GGA-PBE).
Lines closer than 0.1° are merged.

Structure:
```
data_PHIr
_symmetry_space_group_name_H-M 'P 1 21 1'
_symmetry_Int_Tables_number 4
_cell_length_a 3.5654
_cell_length_b 5.4658
_cell_length_c 3.9863
_cell_angle_alpha 90.00
_cell_angle_beta 111.78
_cell_angle_gamma 90.00
loop_
_symmetry_equiv_pos_as_xyz
'x,y,z'
'-x,y+1/2,-z'
loop_
_atom_site_label
_atom_site_type_symbol
_atom_site_fract_x
_atom_site_fract_y
_atom_site_fract_z
P1 P 0.2310 0.0000 0.4618
H1 H 0.2912 0.6821 0.0804
Ir1 Ir 0.1063 0.3783 0.1688
```

Top 10 peaks for 5 to 70 degrees two-theta, sorted by position:
2θ/deg, Rel. int.
26.93, 55
28.74, 65
29.14, 100
31.59, 30
32.77, 53
42.91, 32
44.14, 39
46.13, 49
49.55, 40
52.18, 23

No. 8
# Nd3NiBr
Computed powder diffractogram, Cu Kα (λ = 1.5418 Å). Input: DFT lattice parameters and positions (GGA-PBE).
Lines closer than 0.1° are merged.

Structure:
```
data_Nd3NiBr
_symmetry_space_group_name_H-M 'P m m n'
_symmetry_Int_Tables_number 59
_cell_length_a 3.8053
_cell_length_b 9.8936
_cell_length_c 8.0661
_cell_angle_alpha 90.00
_cell_angle_beta 90.00
_cell_angle_gamma 90.00
loop_
_symmetry_equiv_pos_as_xyz
'x,y,z'
'-x,-y,-z'
'-x+1/2,-y+1/2,z'
'x+1/2,y+1/2,-z'
'x+1/2,-y,-z'
'-x+1/2,y,z'
'-x,y+1/2,-z'
'x,-y+1/2,z'
loop_
_atom_site_label
_atom_site_type_symbol
_atom_site_fract_x
_atom_site_fract_y
_atom_site_fract_z
Nd1 Nd 0.2500 0.0731 0.1708
Nd2 Nd 0.2500 0.2500 0.7629
Ni1 Ni 0.2500 0.7500 0.9970
Br1 Br 0.2500 0.7500 0.5566
```

Top 10 peaks for 5 to 70 degrees two-theta, sorted by position:
2θ/deg, Rel. int.
10.97, 53
29.26, 75
31.67, 100
32.35, 32
33.62, 92
35.15, 34
36.04, 27
47.81, 25
57.04, 29
57.23, 25

No. 9
# CrInSiP
Computed powder diffractogram, Cu Kα (λ = 1.5418 Å). Input: DFT lattice parameters and positions (GGA-PBE).
Lines closer than 0.1° are merged.

Structure:
```
data_CrInSiP
_symmetry_space_group_name_H-M 'C 1 m 1'
_symmetry_Int_Tables_number 8
_cell_length_a 7.5182
_cell_length_b 3.2946
_cell_length_c 5.6081
_cell_angle_alpha 90.00
_cell_angle_beta 91.10
_cell_angle_gamma 90.00
loop_
_symmetry_equiv_pos_as_xyz
'x,y,z'
'x,-y,z'
'x+1/2,y+1/2,z'
'x+1/2,-y+1/2,z'
loop_
_atom_site_label
_atom_site_type_symbol
_atom_site_fract_x
_atom_site_fract_y
_atom_site_fract_z
Cr1 Cr 0.0000 0.0000 0.0000
In1 In 0.4985 0.5000 0.5199
Si1 Si 0.1989 0.5000 0.2075
P1 P 0.2944 0.0000 0.9206
```

Top 10 peaks for 5 to 70 degrees two-theta, sorted by position:
2θ/deg, Rel. int.
23.67, 54
28.85, 33
29.60, 100
31.92, 45
33.62, 43
39.74, 39
43.91, 24
44.27, 66
45.48, 59
56.19, 23

No. 10
# Ca2Mg17Zn3
Computed powder diffractogram, Cu Kα (λ = 1.5418 Å). Input: DFT lattice parameters and positions (GGA-PBE).
Lines closer than 0.1° are merged.

Structure:
```
data_Ca2Mg17Zn3
_symmetry_space_group_name_H-M 'R -3 m'
_symmetry_Int_Tables_number 166
_symmetry_space_group_name_Hall '-R 3 2"'
_cell_length_a 10.9687
_cell_length_b 10.9687
_cell_length_c 15.8346
_cell_angle_alpha 90.00
_cell_angle_beta 90.00
_cell_angle_gamma 120.00
loop_
_atom_site_label
_atom_site_type_symbol
_atom_site_fract_x
_atom_site_fract_y
_atom_site_fract_z
Ca1 Ca 0.0000 0.0000 0.1552
Mg1 Mg 0.0000 0.0000 0.3971
Mg2 Mg 0.0000 0.2649 0.5000
Mg3 Mg 0.0000 0.5000 0.0000
Mg4 Mg 0.0079 0.5039 0.6686
Zn1 Zn 0.0000 0.5000 0.5000
```

Top 10 peaks for 5 to 70 degrees two-theta, sorted by position:
2θ/deg, Rel. int.
16.80, 25
19.51, 31
27.27, 22
32.66, 100
33.70, 35
33.97, 48
37.86, 28
38.33, 29
39.62, 24
47.84, 55

No. 11
# NaMn2TlI8
Computed powder diffractogram, Cu Kα (λ = 1.5418 Å). Input: DFT lattice parameters and positions (GGA-PBE).
Lines closer than 0.1° are merged.

Structure:
```
data_NaMn2TlI8
_symmetry_space_group_name_H-M 'P -3'
_symmetry_Int_Tables_number 147
_cell_length_a 7.4171
_cell_length_b 7.4171
_cell_length_c 10.6450
_cell_angle_alpha 90.00
_cell_angle_beta 90.00
_cell_angle_gamma 120.00
loop_
_symmetry_equiv_pos_as_xyz
'x,y,z'
'-x,-y,-z'
'-y,x-y,z'
'y,-x+y,-z'
'-x+y,-x,z'
'x-y,x,-z'
loop_
_atom_site_label
_atom_site_type_symbol
_atom_site_fract_x
_atom_site_fract_y
_atom_site_fract_z
Na1 Na 0.0000 0.0000 0.0000
Mn1 Mn 0.3333 0.6667 0.2597
Tl1 Tl 0.0000 0.0000 0.5000
I1 I 0.0049 0.6717 0.8037
I2 I 0.3333 0.6667 0.5020
```

Top 10 peaks for 5 to 70 degrees two-theta, sorted by position:
2θ/deg, Rel. int.
25.10, 27
25.43, 100
29.35, 60
41.78, 25
42.21, 33
49.36, 16
49.74, 25
49.92, 16
52.24, 12
67.39, 13

No. 12
# Ba2UHgSe6
Computed powder diffractogram, Cu Kα (λ = 1.5418 Å). Input: DFT lattice parameters and positions (GGA-PBE).
Lines closer than 0.1° are merged.

Structure:
```
data_Ba2UHgSe6
_symmetry_space_group_name_H-M 'P 1 21/c 1'
_symmetry_Int_Tables_number 14
_cell_length_a 7.6359
_cell_length_b 8.3609
_cell_length_c 12.3855
_cell_angle_alpha 90.00
_cell_angle_beta 126.38
_cell_angle_gamma 90.00
loop_
_symmetry_equiv_pos_as_xyz
'x,y,z'
'-x,-y,-z'
'-x,y+1/2,-z+1/2'
'x,-y+1/2,z+1/2'
loop_
_atom_site_label
_atom_site_type_symbol
_atom_site_fract_x
_atom_site_fract_y
_atom_site_fract_z
Ba1 Ba 0.2205 0.0905 0.2501
U1 U 0.5000 0.0000 0.0000
Hg1 Hg 0.0000 0.0000 0.5000
Se1 Se 0.1608 0.1669 0.9500
Se2 Se 0.2820 0.7255 0.9441
Se3 Se 0.3558 0.0364 0.7373
```

Top 10 peaks for 5 to 70 degrees two-theta, sorted by position:
2θ/deg, Rel. int.
15.72, 71
21.25, 43
23.31, 39
23.57, 71
24.08, 100
31.75, 80
34.25, 53
36.03, 49
40.80, 52
41.75, 44